# LiCo2GeO4
Computed X-ray diffraction stick pattern, Cu Kα (weighted mean of Kα1 and Kα2). Input: a DFT-relaxed cell (GGA+U, Alexandria).
Intensities are scaled so that the largest is 100.

```
data_LiCo2GeO4
_chemical_formula_sum 'Li1 Co2 Ge1 O4'
_cell_length_a 4.5008
_cell_length_b 4.7256
_cell_length_c 5.4306
_cell_angle_alpha 115.78
_cell_angle_beta 112.98
_cell_angle_gamma 90.15
_space_group_name_H-M_alt 'P 1'
_space_group_IT_number 1
loop_
_space_group_symop_operation_xyz
'x,y,z'
loop_
_atom_site_label
_atom_site_fract_x
_atom_site_fract_y
_atom_site_fract_z
_atom_site_occupancy
Li1 0.0000 0.0000 0.0000 1
Co1 0.2711 0.7624 0.4760 1
Co2 0.4757 0.5448 0.0335 1
Ge1 0.7463 0.2532 0.5066 1
O1 0.0777 0.5988 0.7214 1
O2 0.4000 0.3457 0.2678 1
O3 0.6455 0.1681 0.7588 1
O4 0.8638 0.9176 0.2697 1
```

Peak list (8 most intense, 5 to 70 degrees two-theta, sorted by position)
hkl	Position (°2θ)	intensity
0 0 1	20.17	27
0 1 -1	21.33	31
1 -1 0	27.37	23
1 -1 1	33.89	100
1 1 -2	34.58	93
0 2 -1	38.09	17
2 2 -2	56.57	15
0 2 -3	57.19	28